(1)
The following is a calculated powder X-ray diffraction pattern of Ho2Ga3Hg3. It was derived from a crystal structure in OQMD, relaxed with GGA-PBE, using Cu Kα (weighted mean of Kα1 and Kα2).
Peak positions follow from Bragg's law for the DFT cell and can differ from measured ones.

The 10 most intense peaks (2θ = 10–90°), in order of rising 2θ:
d 4.766, 2θ 18.62, I = 12.5
d 2.815, 2θ 31.78, I = 32.4
d 2.424, 2θ 37.09, I = 100.0
d 2.383, 2θ 37.75, I = 20.7
d 1.819, 2θ 50.15, I = 18.5
d 1.625, 2θ 56.63, I = 18.4
d 1.384, 2θ 67.72, I = 17.3
d 1.350, 2θ 69.65, I = 15.4
d 1.343, 2θ 70.07, I = 19.6
d 1.212, 2θ 78.99, I = 5.4

Structural model:
```
Ho2Ga3Hg3
1.0
6.5017 0.0000 0.0000
-3.2508 5.6306 0.0000
0.0000 0.0000 4.7664
Ho Ga Hg
2 3 3
Cartesian
0.0000 0.0000 0.0000
0.0000 3.7538 2.3832
3.2508 0.1553 0.0000
1.7599 2.7377 0.0000
4.7418 2.7377 0.0000
1.6627 0.9600 2.3832
4.8390 0.9600 2.3832
3.2508 3.7107 2.3832
```

---

(2)
The following is a calculated powder X-ray diffraction pattern of PrSmAl2Si2. It was derived from a crystal structure in OQMD, relaxed with GGA-PBE, using Cu Kα (weighted mean of Kα1 and Kα2).
Peak positions follow from Bragg's law for the DFT cell and can differ from measured ones.

The 10 most intense peaks (2θ = 10–90°), in order of rising 2θ:
d 4.054, 2θ 21.92, I = 39.9
d 3.642, 2θ 24.44, I = 23.4
d 3.185, 2θ 28.01, I = 51.0
d 2.762, 2θ 32.42, I = 100.0
d 2.398, 2θ 37.51, I = 41.6
d 2.110, 2θ 42.85, I = 30.8
d 1.866, 2θ 48.79, I = 19.6
d 1.759, 2θ 51.98, I = 18.4
d 1.584, 2θ 58.24, I = 22.9
d 1.313, 2θ 71.92, I = 19.7

Structural model:
```
PrSmAl2Si2
1.0
4.2200 0.0000 0.0000
0.0000 4.2215 0.0000
0.0000 0.0000 14.5663
Pr Sm Al Si
2 2 4 4
Cartesian
0.0000 0.0000 0.0000
2.1100 2.1108 7.2832
0.0000 2.1108 10.9259
2.1100 0.0000 3.6427
0.0000 0.0000 6.0525
0.0000 2.1108 2.4250
2.1100 0.0000 9.7082
2.1100 2.1108 13.3357
0.0000 0.0000 8.4836
0.0000 2.1108 4.8269
2.1100 0.0000 12.1100
2.1100 2.1108 1.2004
```

---

Number 1 is which compound? Ho2Ga3Hg3

---

Which formula does entry 1 have? Ho2Ga3Hg3